1.
The following is a theoretical XRD peak list of AlB2Pb6O7F7. It was derived from a crystal structure in the Materials Project, relaxed with GGA-PBE, using Cu Kα (λ = 1.5418 Å).
Neutral-atom scattering factors, no anomalous dispersion.

Cell and atoms:
Cell lengths 11.066, 11.066, 6.375 Å; angles 90.00, 90.00, 114.92 degrees
Fractional coordinates of all 46 atoms:
Al 0.245 0.755 0.500
Al 0.755 0.245 0.000
B 0.251 0.257 0.776
B 0.257 0.251 0.276
B 0.743 0.749 0.776
B 0.749 0.743 0.276
Pb 0.004 0.305 0.552
Pb 0.065 0.935 0.501
Pb 0.185 0.471 0.027
Pb 0.305 0.004 0.052
Pb 0.447 0.553 0.526
Pb 0.471 0.185 0.527
Pb 0.529 0.815 0.027
Pb 0.553 0.447 0.026
Pb 0.695 0.996 0.552
Pb 0.815 0.529 0.527
Pb 0.935 0.065 0.001
Pb 0.996 0.695 0.052
O 0.113 0.203 0.752
O 0.171 0.829 0.294
O 0.175 0.318 0.270
O 0.203 0.113 0.252
O 0.318 0.175 0.770
O 0.321 0.393 0.812
O 0.393 0.321 0.312
O 0.607 0.679 0.812
O 0.679 0.607 0.312
O 0.682 0.825 0.270
O 0.797 0.887 0.752
O 0.825 0.682 0.770
O 0.829 0.171 0.794
O 0.887 0.797 0.252
F 0.087 0.691 0.651
F 0.090 0.910 0.919
F 0.187 0.592 0.363
F 0.309 0.913 0.651
F 0.318 0.682 0.710
F 0.408 0.813 0.363
F 0.411 0.589 0.124
F 0.589 0.411 0.624
F 0.592 0.187 0.863
F 0.682 0.318 0.210
F 0.691 0.087 0.151
F 0.813 0.408 0.863
F 0.910 0.090 0.419
F 0.913 0.309 0.151

Peak list (8 most intense, 5° ≤ 2θ ≤ 70°, low angle first)
two_theta, intensity
19.0, 32
26.9, 100
28.0, 42
28.7, 94
30.2, 46
34.1, 20
48.8, 30
50.0, 27

***

2.
The following is a theoretical XRD peak list of LiTi2O4. It was derived from a crystal structure in the Materials Project, relaxed with GGA-PBE, using Cu Kα (λ = 1.5418 Å).
Neutral-atom scattering factors, no anomalous dispersion.

Cell and atoms:
Cell lengths 5.349, 5.349, 5.349 Å; angles 137.95, 135.34, 63.01 degrees
Fractional coordinates of all 7 atoms:
Li 0.000 0.000 0.000
Ti 0.289 0.789 0.500
Ti 0.568 0.568 0.000
O 0.072 0.572 0.500
O 0.332 0.332 0.000
O 0.523 0.023 0.500
O 0.782 0.782 0.000

Peak list (8 most intense, 5° ≤ 2θ ≤ 70°, low angle first)
two_theta, intensity
24.0, 75
25.2, 100
36.9, 21
39.5, 46
44.6, 42
47.4, 34
51.9, 23
55.8, 24